Starting from a cell relaxed with GGA-PBE, the powder diffraction line list of U2AgSe2S2 was simulated for Cu Kα, 1.54184 Å.
Neutral-atom scattering factors, no anomalous dispersion.

Top 10 peaks for 15 to 90 degrees two-theta, sorted by position:
- 2θ = 22.7°, rel. 22
- 2θ = 24.4°, rel. 100
- 2θ = 27.8°, rel. 39
- 2θ = 38.6°, rel. 42
- 2θ = 40.8°, rel. 45
- 2θ = 45.2°, rel. 27
- 2θ = 47.2°, rel. 20
- 2θ = 48.2°, rel. 16
- 2θ = 64.9°, rel. 14
- 2θ = 72.8°, rel. 13

Cell and atoms:
Unit cell a=4.422 b=4.422 c=11.760 alpha=90.00 beta=90.00 gamma=120.00
Sites, in units of the cell vectors:
U (0.333, 0.667, 0.157)
U (0.667, 0.333, 0.843)
Ag (0.000, 0.000, 0.500)
Se (0.000, 0.000, 0.289)
Se (0.000, 0.000, 0.711)
S (0.333, 0.667, 0.919)
S (0.667, 0.333, 0.081)

***

Starting from a cell relaxed with GGA-PBE, the powder diffraction line list of Ac2La2PrNd was simulated for Cu Kα, 1.54184 Å.
Neutral-atom scattering factors, no anomalous dispersion.

Top 10 peaks for 15 to 90 degrees two-theta, sorted by position:
- 2θ = 22.8°, rel. 38
- 2θ = 24.7°, rel. 32
- 2θ = 27.5°, rel. 100
- 2θ = 28.2°, rel. 82
- 2θ = 28.3°, rel. 52
- 2θ = 31.2°, rel. 44
- 2θ = 32.1°, rel. 37
- 2θ = 38.5°, rel. 60
- 2θ = 43.6°, rel. 30
- 2θ = 51.9°, rel. 33

Cell and atoms:
Unit cell a=6.923 b=18.897 c=3.665 alpha=90.00 beta=90.00 gamma=90.00
Sites, in units of the cell vectors:
Ac (0.221, 0.188, 0.000)
Ac (0.279, 0.688, 0.500)
Ac (0.721, 0.312, 0.500)
Ac (0.779, 0.812, 0.000)
La (0.214, 0.361, 0.500)
La (0.286, 0.861, 0.000)
La (0.714, 0.139, 0.000)
La (0.786, 0.639, 0.500)
Pr (0.000, 0.000, 0.000)
Pr (0.500, 0.500, 0.500)
Nd (0.000, 0.500, 0.000)
Nd (0.500, 0.000, 0.500)

***

Starting from a cell relaxed with GGA-PBE, the powder diffraction line list of Pm5Sm2Er2 was simulated for Cu Kα, 1.54184 Å.
Neutral-atom scattering factors, no anomalous dispersion.

Top 10 peaks for 15 to 90 degrees two-theta, sorted by position:
- 2θ = 30.3°, rel. 100
- 2θ = 35.1°, rel. 51
- 2θ = 50.5°, rel. 36
- 2θ = 60.1°, rel. 43
- 2θ = 63.0°, rel. 12
- 2θ = 74.2°, rel. 2
- 2θ = 74.3°, rel. 4
- 2θ = 82.2°, rel. 18
- 2θ = 84.9°, rel. 14
- 2θ = 84.9°, rel. 3

Cell and atoms:
Unit cell a=8.077 b=8.077 c=8.084 alpha=107.46 beta=107.46 gamma=36.86
Sites, in units of the cell vectors:
Pm (0.000, 0.000, 0.000)
Pm (0.112, 0.112, 0.665)
Pm (0.443, 0.443, 0.667)
Pm (0.557, 0.557, 0.333)
Pm (0.888, 0.888, 0.335)
Sm (0.333, 0.333, 0.001)
Sm (0.667, 0.667, 0.999)
Er (0.222, 0.222, 0.334)
Er (0.778, 0.778, 0.666)

***

Starting from a cell relaxed with GGA-PBE, the powder diffraction line list of K2YBeBi was simulated for Cu Kα, 1.54184 Å.
Neutral-atom scattering factors, no anomalous dispersion.

Top 10 peaks for 15 to 90 degrees two-theta, sorted by position:
- 2θ = 18.6°, rel. 45
- 2θ = 22.6°, rel. 100
- 2θ = 26.2°, rel. 35
- 2θ = 26.4°, rel. 61
- 2θ = 35.0°, rel. 67
- 2θ = 37.7°, rel. 24
- 2θ = 44.4°, rel. 17
- 2θ = 46.1°, rel. 26
- 2θ = 52.4°, rel. 21
- 2θ = 53.9°, rel. 16

Cell and atoms:
Unit cell a=6.752 b=6.752 c=4.847 alpha=90.00 beta=90.00 gamma=90.00
Sites, in units of the cell vectors:
K (0.000, 0.500, 0.000)
K (0.500, 0.000, 0.000)
Y (0.000, 0.000, 0.000)
Be (0.000, 0.000, 0.500)
Bi (0.500, 0.500, 0.500)

***

Starting from a cell relaxed with GGA-PBE, the powder diffraction line list of LaTb4PmDy2 was simulated for Cu Kα, 1.54184 Å.
Neutral-atom scattering factors, no anomalous dispersion.

Top 10 peaks for 15 to 90 degrees two-theta, sorted by position:
- 2θ = 30.5°, rel. 100
- 2θ = 35.3°, rel. 34
- 2θ = 35.5°, rel. 17
- 2θ = 50.7°, rel. 12
- 2θ = 50.9°, rel. 24
- 2θ = 60.3°, rel. 22
- 2θ = 60.4°, rel. 7
- 2θ = 60.6°, rel. 14
- 2θ = 63.4°, rel. 9
- 2θ = 82.9°, rel. 7

Cell and atoms:
Unit cell a=7.191 b=7.204 c=10.128 alpha=90.03 beta=90.03 gamma=90.09
Sites, in units of the cell vectors:
La (0.000, 0.000, 0.000)
La (0.000, 0.500, 0.000)
Tb (0.253, 0.249, 0.254)
Tb (0.253, 0.249, 0.747)
Tb (0.253, 0.752, 0.253)
Tb (0.253, 0.752, 0.747)
Tb (0.747, 0.249, 0.253)
Tb (0.747, 0.249, 0.747)
Tb (0.747, 0.752, 0.253)
Tb (0.747, 0.752, 0.747)
Pm (0.000, 0.501, 0.500)
Pm (0.500, 0.501, 0.000)
Dy (0.000, 0.000, 0.500)
Dy (0.500, 0.000, 0.500)
Dy (0.500, 0.001, 0.000)
Dy (0.500, 0.500, 0.500)

***

Starting from a cell relaxed with GGA-PBE, the powder diffraction line list of Nd5Sm2Tm2 was simulated for Cu Kα, 1.54184 Å.
Neutral-atom scattering factors, no anomalous dispersion.

Top 10 peaks for 15 to 90 degrees two-theta, sorted by position:
- 2θ = 30.1°, rel. 99
- 2θ = 30.2°, rel. 98
- 2θ = 35.0°, rel. 100
- 2θ = 50.3°, rel. 48
- 2θ = 59.7°, rel. 28
- 2θ = 59.8°, rel. 28
- 2θ = 59.9°, rel. 28
- 2θ = 62.6°, rel. 12
- 2θ = 62.9°, rel. 12
- 2θ = 84.5°, rel. 22

Cell and atoms:
Unit cell a=8.109 b=8.109 c=8.125 alpha=107.70 beta=107.70 gamma=36.88
Sites, in units of the cell vectors:
Nd (0.000, 0.000, 0.000)
Nd (0.222, 0.222, 0.335)
Nd (0.334, 0.334, 0.999)
Nd (0.666, 0.666, 0.001)
Nd (0.778, 0.778, 0.665)
Sm (0.109, 0.109, 0.665)
Sm (0.891, 0.891, 0.335)
Tm (0.445, 0.445, 0.663)
Tm (0.555, 0.555, 0.337)

***

Starting from a cell relaxed with GGA-PBE, the powder diffraction line list of SrCd2PRh2 was simulated for Cu Kα, 1.54184 Å.
Neutral-atom scattering factors, no anomalous dispersion.

Top 10 peaks for 15 to 90 degrees two-theta, sorted by position:
- 2θ = 19.5°, rel. 21
- 2θ = 31.3°, rel. 100
- 2θ = 35.0°, rel. 93
- 2θ = 39.7°, rel. 89
- 2θ = 40.4°, rel. 53
- 2θ = 53.9°, rel. 51
- 2θ = 57.4°, rel. 29
- 2θ = 66.9°, rel. 23
- 2θ = 72.5°, rel. 18
- 2θ = 73.9°, rel. 24

Cell and atoms:
Unit cell a=4.542 b=4.542 c=6.217 alpha=90.00 beta=90.00 gamma=90.00
Sites, in units of the cell vectors:
Sr (0.000, 0.000, 0.000)
Cd (0.500, 0.500, 0.226)
Cd (0.500, 0.500, 0.774)
P (0.000, 0.000, 0.500)
Rh (0.000, 0.500, 0.500)
Rh (0.500, 0.000, 0.500)

***

Starting from a cell relaxed with GGA-PBE, the powder diffraction line list of Cs2RbZnF5 was simulated for Cu Kα, 1.54184 Å.
Neutral-atom scattering factors, no anomalous dispersion.

Top 10 peaks for 15 to 90 degrees two-theta, sorted by position:
- 2θ = 25.8°, rel. 56
- 2θ = 26.2°, rel. 100
- 2θ = 27.9°, rel. 38
- 2θ = 31.6°, rel. 28
- 2θ = 32.6°, rel. 79
- 2θ = 35.4°, rel. 19
- 2θ = 42.6°, rel. 23
- 2θ = 47.3°, rel. 22
- 2θ = 48.4°, rel. 21
- 2θ = 51.7°, rel. 21

Cell and atoms:
Unit cell a=8.547 b=8.547 c=8.547 alpha=124.05 beta=124.05 gamma=83.12
Sites, in units of the cell vectors:
Cs (0.178, 0.678, 0.855)
Cs (0.322, 0.178, 0.500)
Cs (0.678, 0.822, 0.500)
Cs (0.822, 0.322, 0.145)
Rb (0.250, 0.250, 0.000)
Rb (0.750, 0.750, 0.000)
Zn (0.250, 0.750, 0.500)
Zn (0.750, 0.250, 0.500)
F (0.000, 0.000, 0.000)
F (0.024, 0.798, 0.500)
F (0.202, 0.702, 0.226)
F (0.298, 0.524, 0.500)
F (0.476, 0.976, 0.774)
F (0.500, 0.500, 0.000)
F (0.524, 0.024, 0.226)
F (0.702, 0.476, 0.500)
F (0.798, 0.298, 0.774)
F (0.976, 0.202, 0.500)